[1]
For TiSb3, a crystal structure in Alexandria, relaxed with GGA-PBE gives the theoretical XRD peak list in this record (Cu Kα, 1.54184 Å).

Cell and atoms:
Lattice parameters (Å, degrees): 3.5975 9.0329 5.9634 90.00 90.00 90.00
Space group Imm2 (No. 44)
Unique sites:
Ti 0.0000 0.0000 0.0000 x2
Sb 0.0000 0.3036 0.7710 x4
Sb 0.0000 0.5000 0.1512 x2

The 12 most intense peaks (2θ = 15–90°), by angle:
26.7 deg, 3.342 Å, intensity 26.8, hkl 1 1 0; 29.0 deg, 3.080 Å, intensity 39.8, hkl 1 0 1; 30.0 deg, 2.982 Å, intensity 22.7, hkl 0 0 2; 33.3 deg, 2.688 Å, intensity 58.6, hkl 0 3 1; 35.3 deg, 2.545 Å, intensity 100.0, hkl 1 2 1; 36.1 deg, 2.488 Å, intensity 32.8, hkl 0 2 2; 40.5 deg, 2.225 Å, intensity 26.5, hkl 1 1 2; 50.0 deg, 1.826 Å, intensity 16.6, hkl 1 3 2; 50.7 deg, 1.799 Å, intensity 18.4, hkl 2 0 0; 52.6 deg, 1.740 Å, intensity 16.2, hkl 1 0 3; 62.1 deg, 1.495 Å, intensity 18.9, hkl 2 3 1; 65.8 deg, 1.420 Å, intensity 17.8, hkl 1 5 2

[2]
For LiHfNiAu, a crystal structure in Alexandria, relaxed with GGA-PBE gives the theoretical XRD peak list in this record (Cu Kα, 1.54184 Å).

Cell and atoms:
Lattice parameters (Å, degrees): 6.3507 6.3507 6.3507 90.00 90.00 90.00
Space group F-43m (No. 216)
Unique sites:
Li 0.0000 0.0000 0.0000 x4
Hf 0.0000 0.0000 0.5000 x4
Ni 0.2500 0.2500 0.2500 x4
Au 0.2500 0.2500 0.7500 x4

The 11 most intense peaks (2θ = 15–90°), by angle:
24.3 deg, 3.667 Å, intensity 57.5, hkl 1 1 1; 28.1 deg, 3.175 Å, intensity 4.5, hkl 2 0 0; 40.2 deg, 2.245 Å, intensity 100.0, hkl 2 2 0; 47.5 deg, 1.915 Å, intensity 29.9, hkl 3 1 1; 49.7 deg, 1.833 Å, intensity 1.2, hkl 2 2 2; 58.1 deg, 1.588 Å, intensity 16.9, hkl 4 0 0; 63.9 deg, 1.457 Å, intensity 12.6, hkl 3 3 1; 65.8 deg, 1.420 Å, intensity 1.5, hkl 4 2 0; 73.0 deg, 1.296 Å, intensity 34.5, hkl 4 2 2; 78.2 deg, 1.222 Å, intensity 9.7, hkl 5 1 1; 86.7 deg, 1.123 Å, intensity 11.3, hkl 4 4 0

[3]
For TbRe4Se8, a crystal structure in Alexandria, relaxed with GGA-PBE gives the theoretical XRD peak list in this record (Cu Kα, 1.54184 Å).

Cell and atoms:
Lattice parameters (Å, degrees): 7.4403 7.4403 18.7990 90.00 90.00 120.00
Space group R-3m (No. 166, hexagonal axes)
Unique sites:
Tb 0.0000 0.0000 0.0000 x3
Re 0.0000 0.0000 0.5000 x3
Re 0.0000 0.5000 0.5000 x9
Se 0.0000 0.0000 0.2415 x6
Se 0.0087 0.5043 0.2414 x18

The 12 most intense peaks (2θ = 15–90°), by angle:
16.7 deg, 5.315 Å, intensity 6.2, hkl 0 1 2; 28.1 deg, 3.175 Å, intensity 20.5, hkl 0 2 1; 33.7 deg, 2.657 Å, intensity 100.0, hkl 0 2 4; 43.9 deg, 2.063 Å, intensity 13.9, hkl 0 2 7; 47.9 deg, 1.899 Å, intensity 35.2, hkl 2 0 8; 49.0 deg, 1.860 Å, intensity 35.5, hkl 2 2 0; 51.2 deg, 1.783 Å, intensity 12.5, hkl 2 2 3; 60.8 deg, 1.524 Å, intensity 18.2, hkl 4 0 4; 61.4 deg, 1.510 Å, intensity 6.8, hkl 2 0 11; 70.9 deg, 1.329 Å, intensity 10.9, hkl 0 4 8; 80.1 deg, 1.198 Å, intensity 14.3, hkl 2 2 12; 81.7 deg, 1.179 Å, intensity 15.8, hkl 2 4 4

[4]
For Ce2ThSiN5, a crystal structure in Alexandria, relaxed with GGA-PBE gives the theoretical XRD peak list in this record (Cu Kα, 1.54184 Å).

Cell and atoms:
Lattice parameters (Å, degrees): 6.5133 6.5133 5.7005 90.00 90.00 90.00
Space group P4/mbm (No. 127)
Unique sites:
Ce 0.1724 0.3276 0.0000 x4
Th 0.0000 0.0000 0.5000 x2
Si 0.0000 0.5000 0.5000 x2
N 0.0000 0.0000 0.0000 x2
N 0.1421 0.6421 0.2808 x8

The 12 most intense peaks (2θ = 15–90°), by angle:
24.9 deg, 3.582 Å, intensity 65.5, hkl 1 1 1; 30.7 deg, 2.913 Å, intensity 18.2, hkl 2 1 0; 31.4 deg, 2.850 Å, intensity 40.4, hkl 0 0 2; 31.6 deg, 2.828 Å, intensity 100.0, hkl 2 0 1; 34.6 deg, 2.594 Å, intensity 46.2, hkl 2 1 1; 39.1 deg, 2.303 Å, intensity 23.2, hkl 2 2 0; 44.0 deg, 2.060 Å, intensity 35.5, hkl 3 1 0; 44.5 deg, 2.037 Å, intensity 29.0, hkl 2 1 2; 51.0 deg, 1.791 Å, intensity 21.1, hkl 2 2 2; 55.0 deg, 1.669 Å, intensity 27.5, hkl 3 1 2; 56.0 deg, 1.641 Å, intensity 21.2, hkl 2 0 3; 62.7 deg, 1.482 Å, intensity 19.3, hkl 3 3 1

[5]
For La2PmTm5, a crystal structure in Alexandria, relaxed with GGA-PBE gives the theoretical XRD peak list in this record (Cu Kα, 1.54184 Å).

Cell and atoms:
Lattice parameters (Å, degrees): 6.7812 6.7849 7.2584 105.66 105.52 115.06
Space group P1 (No. 1)
Unique sites:
La 0.0000 0.0000 0.0000 x1
La 0.4237 0.9150 0.3368 x1
Pm 0.5090 0.4922 0.0007 x1
Tm 0.0071 0.9990 0.5044 x1
Tm 0.4194 0.9121 0.8336 x1
Tm 0.5058 0.4977 0.5042 x1
Tm 0.9224 0.4181 0.3385 x1
Tm 0.9230 0.4153 0.8338 x1

The 12 most intense peaks (2θ = 15–90°), by angle:
28.4 deg, 3.148 Å, intensity 28.4, hkl 1 1 -2; 31.3 deg, 2.861 Å, intensity 29.3, hkl 2 -2 0; 32.5 deg, 2.759 Å, intensity 100.0, hkl 0 2 0; 32.5 deg, 2.752 Å, intensity 19.8, hkl -1 1 2; 42.7 deg, 2.118 Å, intensity 15.6, hkl 1 -3 2; 50.1 deg, 1.821 Å, intensity 7.9, hkl 2 2 -2; 50.3 deg, 1.816 Å, intensity 15.7, hkl 1 1 2; 56.4 deg, 1.632 Å, intensity 20.8, hkl 3 -3 2; 60.2 deg, 1.536 Å, intensity 9.1, hkl 4 0 -2; 60.4 deg, 1.534 Å, intensity 13.6, hkl 3 -1 2; 61.0 deg, 1.519 Å, intensity 13.2, hkl 1 3 -4; 86.5 deg, 1.125 Å, intensity 6.7, hkl 5 -3 2

[6]
For Ho12In3Fe2, a crystal structure in Alexandria, relaxed with GGA-PBE gives the theoretical XRD peak list in this record (Cu Kα, 1.54184 Å).

Cell and atoms:
Lattice parameters (Å, degrees): 9.6173 9.6173 9.8979 90.00 90.00 90.00
Space group I4/mmm (No. 139)
Unique sites:
Ho 0.0000 0.2471 0.2102 x16
Ho 0.1966 0.1966 0.5000 x8
In 0.0000 0.0000 0.0000 x2
In 0.0000 0.5000 0.0000 x4
Fe 0.0000 0.0000 0.3898 x4

The 12 most intense peaks (2θ = 15–90°), by angle:
28.6 deg, 3.121 Å, intensity 8.7, hkl 1 0 3; 29.3 deg, 3.049 Å, intensity 19.4, hkl 3 0 1; 31.9 deg, 2.803 Å, intensity 100.0, hkl 2 2 2; 34.3 deg, 2.618 Å, intensity 27.4, hkl 2 1 3; 34.8 deg, 2.575 Å, intensity 14.3, hkl 3 2 1; 36.3 deg, 2.474 Å, intensity 12.3, hkl 0 0 4; 37.4 deg, 2.404 Å, intensity 32.8, hkl 4 0 0; 53.1 deg, 1.724 Å, intensity 7.8, hkl 4 0 4; 53.9 deg, 1.700 Å, intensity 10.0, hkl 4 4 0; 54.5 deg, 1.684 Å, intensity 11.1, hkl 3 0 5; 58.8 deg, 1.571 Å, intensity 11.2, hkl 5 2 3; 64.1 deg, 1.454 Å, intensity 12.2, hkl 6 2 2

[7]
For NpBiRhO6, a crystal structure in Alexandria, relaxed with GGA-PBE gives the theoretical XRD peak list in this record (Cu Kα, 1.54184 Å).

Cell and atoms:
Lattice parameters (Å, degrees): 5.6501 5.6501 8.7326 90.00 90.00 120.00
Space group P-31c (No. 163)
Unique sites:
Np 0.3333 0.6667 0.2500 x2
Bi 0.3333 0.6667 0.7500 x2
Rh 0.0000 0.0000 0.0000 x2
O 0.0409 0.3386 0.1202 x12

The 12 most intense peaks (2θ = 15–90°), by angle:
18.1 deg, 4.893 Å, intensity 13.3, hkl 1 0 0; 20.3 deg, 4.366 Å, intensity 32.9, hkl 0 0 2; 27.4 deg, 3.258 Å, intensity 100.0, hkl 1 0 2; 31.7 deg, 2.825 Å, intensity 79.6, hkl 1 1 0; 37.9 deg, 2.372 Å, intensity 48.0, hkl 1 1 2; 42.3 deg, 2.134 Å, intensity 31.2, hkl 2 0 2; 53.0 deg, 1.727 Å, intensity 53.2, hkl 2 -1 4; 53.8 deg, 1.703 Å, intensity 31.3, hkl 3 -1 2; 56.4 deg, 1.631 Å, intensity 25.8, hkl 3 0 0; 66.2 deg, 1.412 Å, intensity 13.2, hkl 2 2 0; 72.3 deg, 1.307 Å, intensity 14.9, hkl 3 0 4; 81.1 deg, 1.186 Å, intensity 15.1, hkl 2 2 4

[8]
For La2Dy4Ge3H2, a crystal structure in Alexandria, relaxed with GGA-PBE gives the theoretical XRD peak list in this record (Cu Kα, 1.54184 Å).

Cell and atoms:
Lattice parameters (Å, degrees): 4.6217 4.6217 23.9233 90.00 90.00 90.00
Space group I4/mmm (No. 139)
Unique sites:
La 0.0000 0.0000 0.2002 x4
Dy 0.0000 0.5000 0.0785 x8
Ge 0.0000 0.0000 0.3333 x4
Ge 0.0000 0.0000 0.5000 x2
H 0.0000 0.0000 0.0939 x4

The 12 most intense peaks (2θ = 15–90°), by angle:
22.3 deg, 3.992 Å, intensity 17.7, hkl 0 0 6; 28.3 deg, 3.153 Å, intensity 68.1, hkl 1 1 2; 29.9 deg, 2.990 Å, intensity 19.8, hkl 0 0 8; 31.2 deg, 2.868 Å, intensity 18.0, hkl 1 1 4; 32.6 deg, 2.748 Å, intensity 20.2, hkl 1 0 7; 35.5 deg, 2.528 Å, intensity 100.0, hkl 1 1 6; 39.0 deg, 2.311 Å, intensity 57.6, hkl 2 0 0; 49.9 deg, 1.829 Å, intensity 19.2, hkl 2 0 8; 53.9 deg, 1.702 Å, intensity 12.4, hkl 1 1 12; 56.3 deg, 1.634 Å, intensity 21.3, hkl 2 2 0; 64.2 deg, 1.451 Å, intensity 13.4, hkl 3 1 2; 68.4 deg, 1.372 Å, intensity 29.6, hkl 3 1 6

Copy entry 5 word for word.
For La2PmTm5, a crystal structure in Alexandria, relaxed with GGA-PBE gives the theoretical XRD peak list in this record (Cu Kα, 1.54184 Å).

Cell and atoms:
Lattice parameters (Å, degrees): 6.7812 6.7849 7.2584 105.66 105.52 115.06
Space group P1 (No. 1)
Unique sites:
La 0.0000 0.0000 0.0000 x1
La 0.4237 0.9150 0.3368 x1
Pm 0.5090 0.4922 0.0007 x1
Tm 0.0071 0.9990 0.5044 x1
Tm 0.4194 0.9121 0.8336 x1
Tm 0.5058 0.4977 0.5042 x1
Tm 0.9224 0.4181 0.3385 x1
Tm 0.9230 0.4153 0.8338 x1

The 12 most intense peaks (2θ = 15–90°), by angle:
28.4 deg, 3.148 Å, intensity 28.4, hkl 1 1 -2; 31.3 deg, 2.861 Å, intensity 29.3, hkl 2 -2 0; 32.5 deg, 2.759 Å, intensity 100.0, hkl 0 2 0; 32.5 deg, 2.752 Å, intensity 19.8, hkl -1 1 2; 42.7 deg, 2.118 Å, intensity 15.6, hkl 1 -3 2; 50.1 deg, 1.821 Å, intensity 7.9, hkl 2 2 -2; 50.3 deg, 1.816 Å, intensity 15.7, hkl 1 1 2; 56.4 deg, 1.632 Å, intensity 20.8, hkl 3 -3 2; 60.2 deg, 1.536 Å, intensity 9.1, hkl 4 0 -2; 60.4 deg, 1.534 Å, intensity 13.6, hkl 3 -1 2; 61.0 deg, 1.519 Å, intensity 13.2, hkl 1 3 -4; 86.5 deg, 1.125 Å, intensity 6.7, hkl 5 -3 2

Please write out number 2 again, unchanged.
For LiHfNiAu, a crystal structure in Alexandria, relaxed with GGA-PBE gives the theoretical XRD peak list in this record (Cu Kα, 1.54184 Å).

Cell and atoms:
Lattice parameters (Å, degrees): 6.3507 6.3507 6.3507 90.00 90.00 90.00
Space group F-43m (No. 216)
Unique sites:
Li 0.0000 0.0000 0.0000 x4
Hf 0.0000 0.0000 0.5000 x4
Ni 0.2500 0.2500 0.2500 x4
Au 0.2500 0.2500 0.7500 x4

The 11 most intense peaks (2θ = 15–90°), by angle:
24.3 deg, 3.667 Å, intensity 57.5, hkl 1 1 1; 28.1 deg, 3.175 Å, intensity 4.5, hkl 2 0 0; 40.2 deg, 2.245 Å, intensity 100.0, hkl 2 2 0; 47.5 deg, 1.915 Å, intensity 29.9, hkl 3 1 1; 49.7 deg, 1.833 Å, intensity 1.2, hkl 2 2 2; 58.1 deg, 1.588 Å, intensity 16.9, hkl 4 0 0; 63.9 deg, 1.457 Å, intensity 12.6, hkl 3 3 1; 65.8 deg, 1.420 Å, intensity 1.5, hkl 4 2 0; 73.0 deg, 1.296 Å, intensity 34.5, hkl 4 2 2; 78.2 deg, 1.222 Å, intensity 9.7, hkl 5 1 1; 86.7 deg, 1.123 Å, intensity 11.3, hkl 4 4 0

Copy entry 5 word for word.
For La2PmTm5, a crystal structure in Alexandria, relaxed with GGA-PBE gives the theoretical XRD peak list in this record (Cu Kα, 1.54184 Å).

Cell and atoms:
Lattice parameters (Å, degrees): 6.7812 6.7849 7.2584 105.66 105.52 115.06
Space group P1 (No. 1)
Unique sites:
La 0.0000 0.0000 0.0000 x1
La 0.4237 0.9150 0.3368 x1
Pm 0.5090 0.4922 0.0007 x1
Tm 0.0071 0.9990 0.5044 x1
Tm 0.4194 0.9121 0.8336 x1
Tm 0.5058 0.4977 0.5042 x1
Tm 0.9224 0.4181 0.3385 x1
Tm 0.9230 0.4153 0.8338 x1

The 12 most intense peaks (2θ = 15–90°), by angle:
28.4 deg, 3.148 Å, intensity 28.4, hkl 1 1 -2; 31.3 deg, 2.861 Å, intensity 29.3, hkl 2 -2 0; 32.5 deg, 2.759 Å, intensity 100.0, hkl 0 2 0; 32.5 deg, 2.752 Å, intensity 19.8, hkl -1 1 2; 42.7 deg, 2.118 Å, intensity 15.6, hkl 1 -3 2; 50.1 deg, 1.821 Å, intensity 7.9, hkl 2 2 -2; 50.3 deg, 1.816 Å, intensity 15.7, hkl 1 1 2; 56.4 deg, 1.632 Å, intensity 20.8, hkl 3 -3 2; 60.2 deg, 1.536 Å, intensity 9.1, hkl 4 0 -2; 60.4 deg, 1.534 Å, intensity 13.6, hkl 3 -1 2; 61.0 deg, 1.519 Å, intensity 13.2, hkl 1 3 -4; 86.5 deg, 1.125 Å, intensity 6.7, hkl 5 -3 2